Entry 1:
Cs3CaCu2Cl6: theoretical X-ray powder pattern (Cu Ka), based on a cell relaxed with GGA-PBE.
Peak positions follow from Bragg's law for the DFT cell and can differ from measured ones.

Structure:
Lattice parameters (Å, degrees): 7.6108 7.6108 9.0095 90.00 90.00 120.00
Fractional positions:
Cs  0.0000  0.0000  0.0000
Cs  0.3333  0.6667  0.6775
Cs  0.6667  0.3333  0.3225
Ca  0.0000  0.0000  0.5000
Cu  0.3333  0.6667  0.2541
Cu  0.6667  0.3333  0.7459
Cl  0.1644  0.3288  0.3129
Cl  0.1644  0.8356  0.3129
Cl  0.3288  0.1644  0.6871
Cl  0.6712  0.8356  0.3129
Cl  0.8356  0.1644  0.6871
Cl  0.8356  0.6712  0.6871

The 10 most intense peaks (10° ≤ 2θ ≤ 80°), sorted by position:
2theta  d [Å]  I/Imax
16.7  5.320  30
23.4  3.805  100
23.9  3.719  78
28.8  3.095  49
29.7  3.003  23
33.7  2.660  79
41.1  2.197  23
41.4  2.180  37
47.8  1.903  34
57.3  1.607  19

Entry 2:
PmIn12Rh6: theoretical X-ray powder pattern (Cu Ka), based on a cell relaxed with GGA-PBE.
Peak positions follow from Bragg's law for the DFT cell and can differ from measured ones.

Structure:
Lattice parameters (Å, degrees): 7.8104 7.8104 7.8104 105.81 105.81 105.81
Fractional positions:
Pm  0.0000  0.0000  0.0000
In  0.1191  0.5000  0.8809
In  0.1191  0.8809  0.5000
In  0.1491  0.4079  0.4079
In  0.4079  0.1491  0.4079
In  0.4079  0.4079  0.1491
In  0.5000  0.1191  0.8809
In  0.5000  0.8809  0.1191
In  0.5921  0.5921  0.8509
In  0.5921  0.8509  0.5921
In  0.8509  0.5921  0.5921
In  0.8809  0.1191  0.5000
In  0.8809  0.5000  0.1191
Rh  0.2722  0.2722  0.6960
Rh  0.2722  0.6960  0.2722
Rh  0.3040  0.7278  0.7278
Rh  0.6960  0.2722  0.2722
Rh  0.7278  0.3040  0.7278
Rh  0.7278  0.7278  0.3040

The 10 most intense peaks (10° ≤ 2θ ≤ 80°), sorted by position:
2theta  d [Å]  I/Imax
23.9  3.723  22
31.5  2.844  100
32.8  2.734  58
37.6  2.389  54
38.8  2.323  75
41.5  2.176  27
43.0  2.101  50
43.6  2.077  21
46.6  1.951  58
59.3  1.558  29

Entry 3:
TbPmNd5Dy2: theoretical X-ray powder pattern (Cu Ka), based on a cell relaxed with GGA-PBE.
Peak positions follow from Bragg's law for the DFT cell and can differ from measured ones.

Structure:
Lattice parameters (Å, degrees): 10.6194 10.6194 10.7454 90.00 90.00 148.91
Fractional positions:
Tb  0.0895  0.9105  0.5000
Tb  0.9105  0.0895  0.0000
Pm  0.2993  0.7007  0.0527
Pm  0.7007  0.2993  0.5527
Nd  0.0204  0.9796  0.7854
Nd  0.1095  0.8905  0.0681
Nd  0.2034  0.7966  0.7471
Nd  0.2191  0.7809  0.3529
Nd  0.4836  0.5164  0.0647
Nd  0.5164  0.4836  0.5647
Nd  0.7809  0.2191  0.8529
Nd  0.7966  0.2034  0.2471
Nd  0.8905  0.1095  0.5681
Nd  0.9796  0.0204  0.2854
Dy  0.3835  0.6165  0.3607
Dy  0.3889  0.6111  0.7800
Dy  0.6111  0.3889  0.2800
Dy  0.6165  0.3835  0.8607

The 10 most intense peaks (10° ≤ 2θ ≤ 80°), sorted by position:
2theta  d [Å]  I/Imax
26.3  3.388  10
27.4  3.251  15
29.8  2.999  35
31.4  2.846  39
31.7  2.826  100
33.4  2.686  12
50.2  1.818  10
56.1  1.639  20
58.2  1.585  13
60.4  1.532  12

Entry 4:
Ac3CdB2N6: theoretical X-ray powder pattern (Cu Ka), based on a cell relaxed with GGA-PBE.
Peak positions follow from Bragg's law for the DFT cell and can differ from measured ones.

Structure:
Lattice parameters (Å, degrees): 5.7217 5.7217 6.6618 90.00 90.00 120.00
Fractional positions:
Ac  0.0000  0.0000  0.0000
Ac  0.3333  0.6667  0.6690
Ac  0.6667  0.3333  0.3310
Cd  0.0000  0.0000  0.5000
B  0.3333  0.6667  0.2584
B  0.6667  0.3333  0.7416
N  0.1862  0.3724  0.2722
N  0.1862  0.8138  0.2722
N  0.3724  0.1862  0.7278
N  0.6276  0.8138  0.2722
N  0.8138  0.1862  0.7278
N  0.8138  0.6276  0.7278

The 10 most intense peaks (10° ≤ 2θ ≤ 80°), sorted by position:
2theta  d [Å]  I/Imax
22.4  3.976  96
31.3  2.861  100
32.4  2.764  95
38.8  2.322  37
45.6  1.988  43
50.6  1.803  26
52.1  1.754  25
55.6  1.652  21
56.4  1.633  38
74.7  1.270  18